# 1
Diffraction record for Ba4Sb2I5. The X-ray powder pattern is simulated, not measured: it uses DFT lattice parameters and positions (PBE) and Cu Kα X-rays.
Kinematic intensities with the Lorentz-polarization factor, no thermal factor.

Crystal structure
Cell lengths 13.7555, 13.7555, 9.8067 Å; angles 90.40, 90.40, 20.30 degrees
Element x y z (fractional)
Ba 0.0157 0.0157 0.2342
Ba 0.3271 0.3271 0.9064
Ba 0.6729 0.6729 0.0936
Ba 0.9843 0.9843 0.7658
Sb 0.4503 0.4503 0.0344
Sb 0.5497 0.5497 0.9656
I 0.1404 0.1404 0.3264
I 0.1997 0.1997 0.8513
I 0.5000 0.5000 0.5000
I 0.8003 0.8003 0.1487
I 0.8596 0.8596 0.6736

The 6 most intense peaks (2θ from 10° to 90°), sorted by position:
- 2θ 11.17, intensity 30
- 2θ 19.67, intensity 31
- 2θ 26.04, intensity 100
- 2θ 27.95, intensity 34
- 2θ 30.81, intensity 34
- 2θ 36.26, intensity 40

# 2
Diffraction record for CaCeGaO4. The X-ray powder pattern is simulated, not measured: it uses DFT lattice parameters and positions (PBE) and Cu Kα X-rays.
Kinematic intensities with the Lorentz-polarization factor, no thermal factor.

Crystal structure
Cell lengths 5.7711, 5.7711, 7.0775 Å; angles 90.00, 90.00, 116.39 degrees
Element x y z (fractional)
Ca 0.0000 0.0000 0.0000
Ca 0.0000 0.0000 0.5000
Ce 0.3334 0.6666 0.7500
Ce 0.6666 0.3334 0.2500
Ga 0.3478 0.6522 0.2500
Ga 0.6522 0.3478 0.7500
O 0.2355 0.7645 0.0405
O 0.2355 0.7645 0.4595
O 0.2419 0.2892 0.2500
O 0.2892 0.2419 0.7500
O 0.7108 0.7581 0.2500
O 0.7581 0.7108 0.7500
O 0.7645 0.2355 0.5405
O 0.7645 0.2355 0.9595

The 6 most intense peaks (2θ from 10° to 90°), sorted by position:
- 2θ 17.15, intensity 34
- 2θ 25.17, intensity 45
- 2θ 29.36, intensity 66
- 2θ 30.62, intensity 93
- 2θ 31.05, intensity 100
- 2θ 40.38, intensity 51

# 3
Diffraction record for Mg14GaCu. The X-ray powder pattern is simulated, not measured: it uses DFT lattice parameters and positions (PBE) and Cu Kα X-rays.
Kinematic intensities with the Lorentz-polarization factor, no thermal factor.

Crystal structure
Cell lengths 6.2367, 6.2367, 10.1261 Å; angles 90.00, 90.00, 120.00 degrees
Element x y z (fractional)
Mg 0.0000 0.0000 0.2489
Mg 0.0000 0.0000 0.7511
Mg 0.0075 0.5037 0.2557
Mg 0.0075 0.5037 0.7443
Mg 0.3308 0.1654 0.5000
Mg 0.3334 0.1667 0.0000
Mg 0.4963 0.5037 0.2557
Mg 0.4963 0.5037 0.7443
Mg 0.4963 0.9925 0.2557
Mg 0.4963 0.9925 0.7443
Mg 0.8333 0.1667 0.0000
Mg 0.8333 0.6666 0.0000
Mg 0.8346 0.1654 0.5000
Mg 0.8346 0.6692 0.5000
Ga 0.3333 0.6667 0.0000
Cu 0.3333 0.6667 0.5000

The 6 most intense peaks (2θ from 10° to 90°), sorted by position:
- 2θ 16.41, intensity 18
- 2θ 33.17, intensity 26
- 2θ 35.46, intensity 26
- 2θ 37.75, intensity 100
- 2θ 65.18, intensity 18
- 2θ 71.00, intensity 19

# 4
Diffraction record for Er4HgC. The X-ray powder pattern is simulated, not measured: it uses DFT lattice parameters and positions (PBE) and Cu Kα X-rays.
Kinematic intensities with the Lorentz-polarization factor, no thermal factor.

Crystal structure
Cell lengths 8.0503, 8.0503, 6.1332 Å; angles 105.00, 105.00, 117.58 degrees
Element x y z (fractional)
Er 0.0633 0.6623 0.8555
Er 0.1639 0.2622 0.6881
Er 0.2622 0.1639 0.1881
Er 0.3377 0.9367 0.6445
Er 0.6623 0.0633 0.3555
Er 0.7378 0.8361 0.8119
Er 0.8361 0.7378 0.3119
Er 0.9367 0.3377 0.1445
Hg 0.3840 0.6160 0.2500
Hg 0.6160 0.3840 0.7500
C 0.0701 0.9299 0.7500
C 0.9299 0.0701 0.2500

The 6 most intense peaks (2θ from 10° to 90°), sorted by position:
- 2θ 30.19, intensity 87
- 2θ 30.95, intensity 84
- 2θ 32.03, intensity 83
- 2θ 32.90, intensity 53
- 2θ 34.06, intensity 100
- 2θ 37.92, intensity 42